Entry 1:
Structure and theoretical powder diffractogram of LiMnPd4 (DFT lattice parameters and positions (PBE); CuKα).

Largest 10 diffraction maxima, in order of rising 2θ, 2θ = 5–70°:
index	2θ (°)	intensity
2 0 0	17.1	20
1 1 0	31.8	26
2 0 -2	32.2	25
4 0 0	34.5	20
3 1 0	40.4	100
2 0 2	40.7	97
1 1 -2	44.1	80
6 0 0	52.9	20
5 1 -2	57.2	19
0 2 0	63.6	13

Structure:
Cell lengths 10.784, 2.926, 5.767 Å; angles 90.00, 105.61, 90.00 degrees
Space group C2/m (No. 12)
Asymmetric unit:
Li 0.000 0.000 0.000 x2
Mn 0.000 0.000 0.500 x2
Pd 0.156 0.500 0.831 x4
Pd 0.157 0.500 0.326 x4

=====

Entry 2:
Structure and theoretical powder diffractogram of Ca2NdNbO6 (DFT lattice parameters and positions (PBE); CuKα).

Largest 10 diffraction maxima, in order of rising 2θ, 2θ = 5–70°:
index	2θ (°)	intensity
0 1 1	18.4	59
1 0 -2	19.1	56
0 2 0	30.0	40
1 1 1	30.8	100
1 1 -3	30.9	99
2 0 -2	31.6	43
0 0 4	44.1	27
2 2 -2	44.2	41
3 1 -1	55.7	25
3 1 -5	55.9	25

Structure:
Cell lengths 5.655, 5.952, 9.955 Å; angles 90.00, 124.34, 90.00 degrees
Space group Pc (No. 7)
Asymmetric unit:
Ca 0.000 0.198 0.000 x2
Ca 0.772 0.244 0.256 x2
Nd 0.547 0.313 0.512 x2
Nb 0.273 0.246 0.757 x2
O 0.019 0.472 0.181 x2
O 0.169 0.190 0.527 x2
O 0.381 0.306 0.986 x2
O 0.515 0.037 0.331 x2
O 0.612 0.433 0.810 x2
O 0.922 0.075 0.700 x2